Diffraction record for Mn2Hg2SF6. The powder diffractogram is calculated, not measured: it uses a DFT-relaxed cell (GGA+U, Alexandria) and Cu Kα, 1.54184 Å.
No peak broadening, texture or thermal motion is included.

a = 11.1797 Å, b = 11.1797 Å, c = 11.1797 Å
α = 90.00°, β = 90.00°, γ = 90.00°
Space group Fd-3m (No. 227, origin choice 2)
Symmetry-distinct sites (fractional):
Mn: 0.0000 0.0000 0.0000
Hg: 0.0000 0.0000 0.5000
S: 0.1250 0.1250 0.6250
F: 0.0756 0.3750 0.3750

Peak list (10 most intense, 2θ from 10° to 80°, most intense first)
27.64°, I = 100; 45.92°, I = 53; 54.44°, I = 46; 13.72°, I = 36; 32.02°, I = 29; 34.98°, I = 26; 73.91°, I = 18; 26.44°, I = 16; 76.16°, I = 14; 48.15°, I = 12

---

Diffraction record for Mn2TlHgF8. The powder diffractogram is calculated, not measured: it uses a DFT-relaxed cell (GGA+U, Alexandria) and Cu Kα, 1.54184 Å.
No peak broadening, texture or thermal motion is included.

a = 5.2344 Å, b = 6.8848 Å, c = 5.3314 Å
α = 90.00°, β = 90.35°, γ = 90.00°
Space group P2/m (No. 10)
Symmetry-distinct sites (fractional):
Mn: 0.0000 0.2472 0.0000
Tl: 0.5000 0.5000 0.5000
Hg: 0.5000 0.0000 0.5000
F: 0.1803 0.5000 0.1718
F: 0.1852 0.0000 0.1760
F: 0.2761 0.2449 0.7163

Peak list (10 most intense, 2θ from 10° to 80°, most intense first)
23.90°, I = 100; 23.75°, I = 92; 31.10°, I = 76; 30.92°, I = 74; 16.63°, I = 51; 16.94°, I = 50; 35.41°, I = 48; 46.90°, I = 37; 46.53°, I = 37; 46.73°, I = 31